The following is a theoretical X-ray powder pattern of Rb2SrRuO6. It was derived from a structure optimized by DFT (GGA-PBE), using Cu Kα.
Peak positions follow from Bragg's law for the DFT cell and can differ from measured ones.

Crystal structure
abc: 6.3935 6.3935 6.1901
angles: 90.00 90.00 120.00
Space group P-3m1 (No. 164)
One atom of each set of equivalent atoms:
Rb 0.3333 0.6667 0.3853 (multiplicity 2)
Sr 0.0000 0.0000 0.0000 (multiplicity 1)
Ru 0.0000 0.0000 0.5000 (multiplicity 1)
O 0.1376 0.2751 0.6815 (multiplicity 6)

The 8 most intense peaks (5° ≤ 2θ ≤ 70°), by angle:
h k l	2θ/deg	I (rel.)
0 0 1	14.3	52
1 0 0	16.0	72
1 1 0	27.9	100
1 0 2	33.2	46
2 0 1	35.5	30
1 1 2	40.6	33
0 2 2	43.9	44
2 1 2	52.8	30



The following is a theoretical X-ray powder pattern of PmDy5Ho4. It was derived from a structure optimized by DFT (GGA-PBE), using Cu Kα.
Peak positions follow from Bragg's law for the DFT cell and can differ from measured ones.

Crystal structure
abc: 10.1652 10.1652 6.2809
angles: 90.00 90.00 90.00
Space group I4 (No. 79)
One atom of each set of equivalent atoms:
Pm 0.0000 0.0000 0.0000 (multiplicity 2)
Dy 0.0000 0.0000 0.4563 (multiplicity 2)
Dy 0.1455 0.7667 0.7276 (multiplicity 8)
Ho 0.0494 0.6515 0.2303 (multiplicity 8)

The 8 most intense peaks (5° ≤ 2θ ≤ 70°), by angle:
h k l	2θ/deg	I (rel.)
3 1 0	27.8	63
0 0 2	28.4	32
3 0 1	30.0	100
1 1 2	31.1	39
2 0 2	33.5	24
3 2 1	34.9	59
1 4 1	39.3	25
1 3 2	40.1	35



The following is a theoretical X-ray powder pattern of Er2NpHgO8. It was derived from a structure optimized by DFT (GGA-PBE), using Cu Kα.
Peak positions follow from Bragg's law for the DFT cell and can differ from measured ones.

Crystal structure
abc: 5.0265 5.0299 7.1330
angles: 86.47 86.55 86.65
Space group P-1 (No. 2)
One atom of each set of equivalent atoms:
Er 0.0213 0.0211 0.2418 (multiplicity 2)
Np 0.5000 0.5000 0.5000 (multiplicity 1)
Hg 0.5000 0.5000 0.0000 (multiplicity 1)
O 0.1916 0.8079 0.0001 (multiplicity 2)
O 0.2058 0.7917 0.5003 (multiplicity 2)
O 0.2946 0.2916 0.6823 (multiplicity 2)
O 0.3251 0.3243 0.2680 (multiplicity 2)

The 8 most intense peaks (5° ≤ 2θ ≤ 70°), by angle:
h k l	2θ/deg	I (rel.)
1 1 0	24.4	91
1 -1 0	25.8	81
0 1 2	30.0	100
0 1 -2	31.7	76
2 0 0	35.8	49
1 2 2	45.4	35
-1 2 2	48.2	33
1 2 -2	49.0	28



The following is a theoretical X-ray powder pattern of AcPm2Nd12. It was derived from a structure optimized by DFT (GGA-PBE), using Cu Kα.
Peak positions follow from Bragg's law for the DFT cell and can differ from measured ones.

Crystal structure
abc: 7.2583 11.7633 25.5179
angles: 90.00 90.00 90.00
Space group Cmme (No. 67)
One atom of each set of equivalent atoms:
Ac 0.0000 0.2500 0.0093 (multiplicity 4)
Pm 0.0000 0.2500 0.2771 (multiplicity 4)
Pm 0.0000 0.2500 0.7294 (multiplicity 4)
Nd 0.0000 0.0153 0.9195 (multiplicity 8)
Nd 0.0000 0.0247 0.4409 (multiplicity 8)
Nd 0.2296 0.2500 0.5813 (multiplicity 8)
Nd 0.2427 0.2500 0.1367 (multiplicity 8)
Nd 0.2500 0.0000 0.2030 (multiplicity 8)
Nd 0.2500 0.0000 0.3285 (multiplicity 8)

The 8 most intense peaks (5° ≤ 2θ ≤ 70°), by angle:
h k l	2θ/deg	I (rel.)
0 2 7	28.8	90
2 2 2	29.8	76
0 4 0	30.4	100
2 2 3	30.8	48
0 2 8	31.9	56
2 2 4	32.2	67
2 2 6	35.9	51
2 4 11	56.5	33



Question: What is the formula in the third record?
Answer: Er2NpHgO8



Question: Which formula does entry 4 have?
Answer: AcPm2Nd12